(1)
# ErBe2Ni5
Theoretical powder XRD pattern, Cu Kα, 1.54184 Å. Input: a DFT-relaxed cell (GGA-PBE, Alexandria).
Intensities are scaled so that the largest is 100.

Structure:
Cell lengths 3.533, 6.195, 8.772 Å; angles 90.00, 90.00, 90.00 degrees
Element x y z (fractional)
Er (0.000, 0.000, 0.000)
Er (0.500, 0.500, 0.500)
Be (0.000, 0.500, 0.235)
Be (0.000, 0.500, 0.765)
Be (0.500, 0.000, 0.265)
Be (0.500, 0.000, 0.735)
Ni (0.000, 0.193, 0.350)
Ni (0.000, 0.193, 0.650)
Ni (0.000, 0.500, 0.000)
Ni (0.000, 0.807, 0.350)
Ni (0.000, 0.807, 0.650)
Ni (0.500, 0.000, 0.500)
Ni (0.500, 0.307, 0.150)
Ni (0.500, 0.307, 0.850)
Ni (0.500, 0.693, 0.150)
Ni (0.500, 0.693, 0.850)

Largest 10 diffraction maxima, in order of rising 2θ, 10 to 90 degrees two-theta:
Position (°2θ), d/Å, I (rel.)
20.25, 4.386, 11
29.10, 3.069, 16
33.90, 2.644, 12
35.48, 2.530, 24
40.04, 2.252, 100
51.03, 1.790, 17
51.75, 1.767, 12
75.63, 1.257, 10
88.64, 1.103, 9
89.78, 1.092, 9

=====

(2)
# Sc2Al5Au3
Theoretical powder XRD pattern, Cu Kα, 1.54184 Å. Input: a DFT-relaxed cell (GGA-PBE, Alexandria).
Intensities are scaled so that the largest is 100.

Structure:
Cell lengths 12.554, 12.554, 6.856 Å; angles 90.00, 90.00, 160.47 degrees
Element x y z (fractional)
Sc (0.019, 0.981, 0.500)
Sc (0.327, 0.673, 0.521)
Sc (0.673, 0.327, 0.021)
Sc (0.981, 0.019, 0.000)
Al (0.101, 0.899, 0.858)
Al (0.207, 0.793, 0.332)
Al (0.208, 0.792, 0.744)
Al (0.380, 0.620, 0.995)
Al (0.448, 0.552, 0.664)
Al (0.552, 0.448, 0.164)
Al (0.620, 0.380, 0.495)
Al (0.792, 0.208, 0.244)
Al (0.793, 0.207, 0.832)
Al (0.899, 0.101, 0.358)
Au (0.108, 0.892, 0.245)
Au (0.274, 0.726, 0.040)
Au (0.452, 0.548, 0.278)
Au (0.548, 0.452, 0.778)
Au (0.726, 0.274, 0.540)
Au (0.892, 0.108, 0.745)

Largest 10 diffraction maxima, in order of rising 2θ, 10 to 90 degrees two-theta:
Position (°2θ), d/Å, I (rel.)
24.88, 3.579, 51
25.20, 3.534, 56
26.94, 3.309, 100
27.64, 3.228, 25
35.33, 2.540, 63
35.51, 2.528, 23
42.46, 2.129, 37
45.61, 1.989, 20
46.42, 1.956, 35
47.46, 1.916, 47

=====

(3)
# ScPa2GaN5
Theoretical powder XRD pattern, Cu Kα, 1.54184 Å. Input: a DFT-relaxed cell (GGA-PBE, Alexandria).
Intensities are scaled so that the largest is 100.

Structure:
Cell lengths 6.955, 6.955, 10.059 Å; angles 90.00, 90.00, 152.26 degrees
Element x y z (fractional)
Sc (0.207, 0.793, 0.500)
Sc (0.793, 0.207, 0.000)
Pa (0.125, 0.875, 0.193)
Pa (0.135, 0.865, 0.790)
Pa (0.865, 0.135, 0.290)
Pa (0.875, 0.125, 0.693)
Ga (0.487, 0.513, 0.982)
Ga (0.513, 0.487, 0.482)
N (0.051, 0.949, 0.563)
N (0.289, 0.711, 0.157)
N (0.302, 0.698, 0.848)
N (0.364, 0.636, 0.520)
N (0.492, 0.508, 0.287)
N (0.508, 0.492, 0.787)
N (0.636, 0.364, 0.020)
N (0.698, 0.302, 0.348)
N (0.711, 0.289, 0.657)
N (0.949, 0.051, 0.063)

Largest 10 diffraction maxima, in order of rising 2θ, 10 to 90 degrees two-theta:
Position (°2θ), d/Å, I (rel.)
17.63, 5.029, 69
26.40, 3.376, 49
27.55, 3.237, 41
29.75, 3.003, 88
31.93, 2.803, 100
32.90, 2.722, 92
33.44, 2.679, 86
38.66, 2.329, 71
47.14, 1.928, 35
58.23, 1.584, 42

=====

(4)
# SmYSi2Pt5
Theoretical powder XRD pattern, Cu Kα, 1.54184 Å. Input: a DFT-relaxed cell (GGA-PBE, Alexandria).
Intensities are scaled so that the largest is 100.

Structure:
Cell lengths 4.217, 4.217, 8.994 Å; angles 90.00, 90.00, 90.00 degrees
Element x y z (fractional)
Sm (0.000, 0.000, 0.000)
Y (0.000, 0.000, 0.500)
Si (0.500, 0.500, 0.369)
Si (0.500, 0.500, 0.631)
Pt (0.000, 0.500, 0.238)
Pt (0.000, 0.500, 0.762)
Pt (0.500, 0.000, 0.238)
Pt (0.500, 0.000, 0.762)
Pt (0.500, 0.500, 0.000)

Largest 10 diffraction maxima, in order of rising 2θ, 10 to 90 degrees two-theta:
Position (°2θ), d/Å, I (rel.)
19.74, 4.497, 9
36.14, 2.485, 100
40.10, 2.248, 16
42.77, 2.114, 10
42.89, 2.109, 35
60.16, 1.538, 20
62.27, 1.491, 12
70.29, 1.339, 13
74.16, 1.279, 25
76.69, 1.243, 10